Entry 1:
Structure and calculated X-ray powder pattern of MgFeTe4 (DFT lattice parameters and positions (GGA-PBE); Cu Kα X-rays).
Neutral-atom scattering factors, no anomalous dispersion.

Most intense lines, 2θ = 5–70°, low angle first:
| Position (°2θ) | I (rel.) |
| --- | --- |
| 17.18 | 63 |
| 33.24 | 100 |
| 34.77 | 76 |
| 40.36 | 26 |
| 44.17 | 17 |
| 53.25 | 34 |
| 58.40 | 34 |
| 61.36 | 13 |
| 68.88 | 12 |
| 69.79 | 29 |

Atomic structure:
Cell: 6.320 6.320 6.320 Å, 60.00 60.00 60.00°
Fractional coordinates of all 6 atoms:
Mg  0.000  0.000  0.000
Fe  0.250  0.250  0.250
Te  0.126  0.625  0.625
Te  0.625  0.126  0.625
Te  0.625  0.625  0.126
Te  0.625  0.625  0.625

---

Entry 2:
Structure and calculated X-ray powder pattern of MgFeTe2 (DFT lattice parameters and positions (GGA-PBE); Cu Kα X-rays).
Neutral-atom scattering factors, no anomalous dispersion.

Most intense lines, 2θ = 5–70°, low angle first:
| Position (°2θ) | I (rel.) |
| --- | --- |
| 13.45 | 9 |
| 27.10 | 10 |
| 28.54 | 100 |
| 37.23 | 48 |
| 44.12 | 36 |
| 48.78 | 23 |
| 52.55 | 10 |
| 53.39 | 17 |
| 59.07 | 12 |
| 67.86 | 8 |

Atomic structure:
Cell: 4.105 4.105 6.582 Å, 90.00 90.00 120.00°
Fractional coordinates of all 4 atoms:
Mg  0.000  0.000  0.000
Fe  0.000  0.000  0.500
Te  0.333  0.667  0.731
Te  0.667  0.333  0.269

---

What did the first record say?
Structure and calculated X-ray powder pattern of MgFeTe4 (DFT lattice parameters and positions (GGA-PBE); Cu Kα X-rays).
Neutral-atom scattering factors, no anomalous dispersion.

Most intense lines, 2θ = 5–70°, low angle first:
| Position (°2θ) | I (rel.) |
| --- | --- |
| 17.18 | 63 |
| 33.24 | 100 |
| 34.77 | 76 |
| 40.36 | 26 |
| 44.17 | 17 |
| 53.25 | 34 |
| 58.40 | 34 |
| 61.36 | 13 |
| 68.88 | 12 |
| 69.79 | 29 |

Atomic structure:
Cell: 6.320 6.320 6.320 Å, 60.00 60.00 60.00°
Fractional coordinates of all 6 atoms:
Mg  0.000  0.000  0.000
Fe  0.250  0.250  0.250
Te  0.126  0.625  0.625
Te  0.625  0.126  0.625
Te  0.625  0.625  0.126
Te  0.625  0.625  0.625